Calculated powder X-ray diffraction pattern
Compound: RbMnI2O8
Radiation: CuKα
Structure: DFT lattice parameters and positions (PBE+U)

Structural model:
```
12
Lattice="2.744 1.584 7.776 -2.744 1.584 7.776 0.000 -3.168 7.776" Properties=species:S:1:pos:R:3 pbc="T T T"
Rb 0.000 0.000 0.000
Mn 0.000 0.000 11.664
I 0.000 0.000 5.057
I 0.000 0.000 18.270
O -0.757 -1.379 10.546
O -1.573 -0.034 12.782
O 0.000 0.000 6.846
O -0.816 1.346 10.546
O 0.816 -1.346 12.782
O 0.000 0.000 16.482
O 1.573 0.034 10.546
O 0.757 1.379 12.782
```

Peak list (10 most intense, 5° ≤ 2θ ≤ 70°, by angle)
- 2θ 11.4, 7.776 Å, I 44
- 2θ 20.2, 4.401 Å, I 14
- 2θ 24.2, 3.684 Å, I 100
- 2θ 26.8, 3.329 Å, I 30
- 2θ 32.6, 2.744 Å, I 60
- 2θ 34.6, 2.591 Å, I 19
- 2θ 41.0, 2.200 Å, I 22
- 2θ 43.2, 2.094 Å, I 14
- 2θ 53.4, 1.717 Å, I 20
- 2θ 58.2, 1.584 Å, I 18

---

Calculated powder X-ray diffraction pattern
Compound: Rb2MnI6O
Radiation: CuKα
Structure: DFT lattice parameters and positions (PBE+U)

Structural model:
```
10
Lattice="-4.377 4.377 5.231 4.377 -4.377 5.231 4.377 4.377 -5.231" Properties=species:S:1:pos:R:3 pbc="T T T"
Rb 4.377 0.000 2.615
Rb 0.000 4.377 2.615
Mn 0.000 0.000 0.000
I 1.946 1.946 0.000
I 2.431 -2.431 5.231
I 0.000 0.000 3.060
I 0.000 0.000 7.402
I -2.431 2.431 5.231
I 2.431 2.431 5.231
O 0.000 0.000 5.231
```

Peak list (10 most intense, 5° ≤ 2θ ≤ 70°, by angle)
- 2θ 14.3, 6.190 Å, I 10
- 2θ 26.6, 3.357 Å, I 100
- 2θ 27.5, 3.240 Å, I 14
- 2θ 28.8, 3.095 Å, I 58
- 2θ 34.3, 2.615 Å, I 16
- 2θ 41.3, 2.189 Å, I 19
- 2θ 45.4, 1.998 Å, I 24
- 2θ 45.5, 1.993 Å, I 15
- 2θ 49.7, 1.833 Å, I 26
- 2θ 54.7, 1.678 Å, I 13